Record 1
Li2Mg6Pt: simulated PXRD pattern (Cu Kα (weighted mean of Kα1 and Kα2)), based on a cell relaxed with PBE.
Neutral-atom scattering factors, no anomalous dispersion.

Top 12 peaks for 2θ = 10–80°, low angle first:
| h k l | Position (°2θ) | I (rel.) |
| --- | --- | --- |
| 0 0 2 | 20.00 | 34 |
| 1 0 0 | 21.64 | 69 |
| 0 1 1 | 23.87 | 100 |
| 0 1 2 | 29.63 | 29 |
| 0 1 3 | 37.45 | 74 |
| 1 1 0 | 37.95 | 61 |
| 1 1 1 | 39.33 | 26 |
| 1 1 2 | 43.26 | 29 |
| 2 0 1 | 45.33 | 19 |
| 1 0 4 | 46.50 | 23 |
| 2 0 3 | 54.38 | 25 |
| 1 2 3 | 68.22 | 25 |

Atomic structure:
Cell: 4.7424 4.7424 8.8794 Å, 90.00 90.00 120.00°
Space group P-3m1 (No. 164)
One atom of each set of equivalent atoms:
Li (0.3333, 0.6667, 0.2870) (multiplicity 2)
Mg (0.0000, 0.0000, 0.1944) (multiplicity 2)
Mg (0.3333, 0.6667, 0.5906) (multiplicity 2)
Mg (0.3333, 0.6667, 0.9501) (multiplicity 2)
Pt (0.0000, 0.0000, 0.5000) (multiplicity 1)

=====

Record 2
Li3MgPt: simulated PXRD pattern (Cu Kα (weighted mean of Kα1 and Kα2)), based on a cell relaxed with PBE.
Neutral-atom scattering factors, no anomalous dispersion.

Top 12 peaks for 2θ = 10–80°, low angle first:
| h k l | Position (°2θ) | I (rel.) |
| --- | --- | --- |
| 1 1 0 | 11.02 | 100 |
| 2 0 0 | 11.25 | 33 |
| 1 1 -1 | 21.87 | 62 |
| 4 0 0 | 22.61 | 23 |
| 0 2 1 | 28.07 | 43 |
| 1 3 0 | 29.25 | 25 |
| 5 1 0 | 29.97 | 14 |
| 3 1 1 | 31.60 | 16 |
| 5 1 -1 | 31.72 | 16 |
| 2 0 -2 | 39.88 | 44 |
| 6 2 -1 | 39.97 | 28 |
| 5 3 0 | 40.78 | 18 |

Atomic structure:
Cell: 16.3493 9.3364 4.5147 Å, 90.00 105.80 90.00°
Space group C2/c (No. 15)
One atom of each set of equivalent atoms:
Li (0.1104, 0.1519, 0.3593) (multiplicity 8)
Li (0.1827, 0.4031, 0.4332) (multiplicity 8)
Li (0.2097, 0.1364, 0.9583) (multiplicity 8)
Mg (0.0000, 0.1217, 0.7500) (multiplicity 4)
Mg (0.0000, 0.3990, 0.2500) (multiplicity 4)
Pt (0.1016, 0.3503, 0.8515) (multiplicity 8)

=====

Record 3
LiMg5Pt3: simulated PXRD pattern (Cu Kα (weighted mean of Kα1 and Kα2)), based on a cell relaxed with PBE.
Neutral-atom scattering factors, no anomalous dispersion.

Top 12 peaks for 2θ = 10–80°, low angle first:
| h k l | Position (°2θ) | I (rel.) |
| --- | --- | --- |
| 1 1 0 | 22.38 | 32 |
| 1 1 1 | 27.46 | 100 |
| 0 0 2 | 31.72 | 23 |
| 1 1 2 | 39.17 | 31 |
| 3 0 0 | 39.29 | 50 |
| 2 2 1 | 48.60 | 20 |
| 3 0 2 | 51.35 | 32 |
| 1 1 3 | 53.94 | 16 |
| 2 2 2 | 56.68 | 10 |
| 4 1 1 | 64.20 | 16 |
| 3 3 0 | 71.18 | 16 |
| 3 0 4 | 79.83 | 13 |

Atomic structure:
Cell: 7.9437 7.9437 5.6421 Å, 90.00 90.00 120.00°
Space group P6_3/mcm (No. 193)
One atom of each set of equivalent atoms:
Li (0.0000, 0.0000, 0.0000) (multiplicity 2)
Mg (0.0000, 0.3101, 0.2500) (multiplicity 6)
Mg (0.3333, 0.6667, 0.0000) (multiplicity 4)
Pt (0.0000, 0.3542, 0.7500) (multiplicity 6)

=====

Record 4
LiMgPtRh: simulated PXRD pattern (Cu Kα (weighted mean of Kα1 and Kα2)), based on a cell relaxed with PBE.
Neutral-atom scattering factors, no anomalous dispersion.

Top 12 peaks for 2θ = 10–80°, low angle first:
| h k l | Position (°2θ) | I (rel.) |
| --- | --- | --- |
| 0 0 2 | 23.28 | 68 |
| 1 0 1 | 25.52 | 23 |
| 1 1 0 | 32.26 | 60 |
| 1 1 2 | 40.16 | 100 |
| 2 0 0 | 46.26 | 33 |
| 0 0 4 | 47.61 | 15 |
| 2 0 2 | 52.42 | 31 |
| 1 1 4 | 58.68 | 22 |
| 2 2 0 | 67.50 | 11 |
| 2 0 4 | 68.56 | 21 |
| 2 2 2 | 72.47 | 12 |
| 3 1 0 | 76.80 | 10 |

Atomic structure:
Cell: 3.9247 3.9247 7.6403 Å, 90.00 90.00 90.00°
Space group I-4m2 (No. 119)
One atom of each set of equivalent atoms:
Li (0.0000, 0.0000, 0.0000) (multiplicity 2)
Mg (0.0000, 0.0000, 0.5000) (multiplicity 2)
Pt (0.0000, 0.5000, 0.2500) (multiplicity 2)
Rh (0.0000, 0.5000, 0.7500) (multiplicity 2)

=====

Record 5
Li2Mg2Zn4Pt3: simulated PXRD pattern (Cu Kα (weighted mean of Kα1 and Kα2)), based on a cell relaxed with PBE.
Neutral-atom scattering factors, no anomalous dispersion.

Top 12 peaks for 2θ = 10–80°, low angle first:
| h k l | Position (°2θ) | I (rel.) |
| --- | --- | --- |
| 0 0 6 | 21.07 | 27 |
| 1 0 1 | 24.29 | 80 |
| 1 0 5 | 29.90 | 81 |
| 1 1 0 | 34.24 | 18 |
| 0 0 10 | 35.49 | 23 |
| 1 1 4 | 37.16 | 37 |
| 1 1 6 | 40.56 | 100 |
| 1 0 11 | 46.48 | 46 |
| 2 0 0 | 49.21 | 46 |
| 2 1 5 | 58.66 | 25 |
| 2 0 10 | 62.12 | 18 |
| 2 1 11 | 70.01 | 27 |

Atomic structure:
Cell: 3.7032 3.7032 25.2970 Å, 90.00 90.00 90.00°
Space group I4/mmm (No. 139)
One atom of each set of equivalent atoms:
Li (0.0000, 0.0000, 0.0384) (multiplicity 4)
Mg (0.0000, 0.0000, 0.2122) (multiplicity 4)
Zn (0.0000, 0.5000, 0.1045) (multiplicity 8)
Pt (0.0000, 0.0000, 0.3214) (multiplicity 4)
Pt (0.0000, 0.0000, 0.5000) (multiplicity 2)

=====

Record 6
LiMgRe: simulated PXRD pattern (Cu Kα (weighted mean of Kα1 and Kα2)), based on a cell relaxed with PBE.
Neutral-atom scattering factors, no anomalous dispersion.

Top 12 peaks for 2θ = 10–80°, low angle first:
| h k l | Position (°2θ) | I (rel.) |
| --- | --- | --- |
| 0 0 2 | 12.54 | 100 |
| 0 0 4 | 25.24 | 19 |
| 1 1 1 | 35.54 | 33 |
| 0 0 6 | 38.27 | 11 |
| 1 1 3 | 40.01 | 39 |
| 0 2 0 | 42.04 | 8 |
| 0 2 2 | 44.05 | 9 |
| 1 1 5 | 47.90 | 15 |
| 0 2 4 | 49.67 | 6 |
| 0 2 6 | 58.16 | 14 |
| 1 1 9 | 70.35 | 7 |
| 1 3 3 | 75.45 | 6 |

Atomic structure:
Cell: 3.2010 4.2983 14.1126 Å, 90.00 90.00 90.00°
Space group Fmm2 (No. 42)
One atom of each set of equivalent atoms:
Li (0.0000, 0.0000, 0.0000) (multiplicity 4)
Mg (0.0000, 0.0000, 0.6821) (multiplicity 4)
Re (0.0000, 0.0000, 0.3440) (multiplicity 4)